1.
Calculated powder XRD pattern of YEr2Fe3Co6 for a wavelength of 1.5418 Å, from DFT lattice parameters and positions (GGA-PBE).
No peak broadening, texture or thermal motion is included.

Peak list (12 most intense, 2θ = 10–80°, low angle first)
| two_theta | Rel. int. |
| --- | --- |
| 11.3 | 20.5 |
| 33.6 | 49.0 |
| 35.5 | 55.8 |
| 36.8 | 34.2 |
| 41.4 | 41.2 |
| 42.5 | 100.0 |
| 44.2 | 20.5 |
| 45.7 | 22.4 |
| 47.2 | 21.5 |
| 68.6 | 22.5 |
| 70.6 | 22.4 |
| 75.2 | 23.9 |

Cell and atoms:
abc: 8.381 8.381 8.381
angles: 35.09 35.09 35.09
Fractional coordinates of all 12 atoms:
1 Y 0.000 0.000 0.000
2 Er 0.141 0.141 0.141
3 Er 0.859 0.859 0.859
4 Fe 0.333 0.333 0.333
5 Fe 0.500 0.500 0.500
6 Fe 0.667 0.667 0.667
7 Co 0.081 0.583 0.583
8 Co 0.417 0.417 0.919
9 Co 0.417 0.919 0.417
10 Co 0.583 0.081 0.583
11 Co 0.583 0.583 0.081
12 Co 0.919 0.417 0.417

2.
Calculated powder XRD pattern of Li4CuNiGe2 for a wavelength of 1.5418 Å, from DFT lattice parameters and positions (GGA-PBE).
No peak broadening, texture or thermal motion is included.

Peak list (6 most intense, 2θ = 10–80°, low angle first)
| two_theta | Rel. int. |
| --- | --- |
| 26.3 | 100.0 |
| 37.5 | 0.6 |
| 43.6 | 99.8 |
| 51.6 | 44.5 |
| 63.4 | 15.5 |
| 69.8 | 17.0 |

Cell and atoms:
abc: 4.151 4.151 5.874
angles: 90.00 90.00 90.00
Fractional coordinates of all 8 atoms:
1 Li 0.000 0.000 0.000
2 Li 0.000 0.500 0.748
3 Li 0.500 0.000 0.252
4 Li 0.500 0.500 0.500
5 Cu 0.500 0.500 0.000
6 Ni 0.000 0.000 0.500
7 Ge 0.000 0.500 0.262
8 Ge 0.500 0.000 0.738

3.
Calculated powder XRD pattern of DyTm2Zn3CdIn2 for a wavelength of 1.5418 Å, from DFT lattice parameters and positions (GGA-PBE).
No peak broadening, texture or thermal motion is included.

Peak list (12 most intense, 2θ = 10–80°, low angle first)
| two_theta | Rel. int. |
| --- | --- |
| 29.0 | 16.9 |
| 31.9 | 57.5 |
| 32.0 | 31.0 |
| 35.1 | 49.3 |
| 35.2 | 100.0 |
| 38.6 | 28.4 |
| 38.8 | 12.5 |
| 39.6 | 43.0 |
| 43.6 | 12.8 |
| 56.5 | 18.5 |
| 68.8 | 12.0 |
| 69.0 | 13.7 |

Cell and atoms:
abc: 4.557 7.128 7.128
angles: 120.38 90.00 90.00
Fractional coordinates of all 9 atoms:
1 Dy 0.000 0.000 0.000
2 Tm 0.000 0.431 0.865
3 Tm 0.000 0.865 0.431
4 Zn 0.500 0.200 0.432
5 Zn 0.500 0.432 0.200
6 Zn 0.500 0.667 0.667
7 Cd 0.000 0.437 0.437
8 In 0.500 0.100 0.764
9 In 0.500 0.764 0.100

4.
Calculated powder XRD pattern of LiHo3Ge2O8F2 for a wavelength of 1.5418 Å, from DFT lattice parameters and positions (GGA-PBE).
No peak broadening, texture or thermal motion is included.

Peak list (12 most intense, 2θ = 10–80°, low angle first)
| two_theta | Rel. int. |
| --- | --- |
| 13.4 | 20.4 |
| 23.6 | 100.0 |
| 27.0 | 19.2 |
| 29.2 | 41.5 |
| 31.0 | 44.3 |
| 32.1 | 77.3 |
| 33.4 | 31.0 |
| 34.0 | 24.8 |
| 35.7 | 24.7 |
| 48.0 | 27.3 |
| 50.1 | 18.3 |
| 51.3 | 22.4 |

Cell and atoms:
abc: 9.090 9.090 11.562
angles: 128.92 128.92 32.09
Fractional coordinates of all 32 atoms:
1 Li 0.000 0.500 0.000
2 Li 0.500 0.000 0.500
3 Ho 0.085 0.673 0.851
4 Ho 0.209 0.791 0.250
5 Ho 0.327 0.915 0.649
6 Ho 0.673 0.085 0.351
7 Ho 0.791 0.209 0.750
8 Ho 0.915 0.327 0.149
9 Ge 0.090 0.615 0.508
10 Ge 0.385 0.910 0.992
11 Ge 0.615 0.090 0.008
12 Ge 0.910 0.385 0.492
13 O 0.048 0.887 0.573
14 O 0.089 0.226 0.367
15 O 0.113 0.952 0.927
16 O 0.140 0.320 0.673
17 O 0.226 0.089 0.867
18 O 0.283 0.451 0.024
19 O 0.320 0.140 0.173
20 O 0.451 0.283 0.524
21 O 0.549 0.717 0.476
22 O 0.680 0.860 0.827
23 O 0.717 0.549 0.976
24 O 0.774 0.911 0.133
25 O 0.860 0.680 0.327
26 O 0.887 0.048 0.073
27 O 0.911 0.774 0.633
28 O 0.952 0.113 0.427
29 F 0.331 0.526 0.332
30 F 0.474 0.669 0.168
31 F 0.526 0.331 0.832
32 F 0.669 0.474 0.668